[1]
Structure and simulated powder diffractogram of Na2PaMnS4 (the GGA-PBE geometry in Alexandria; Cu Kα X-rays).
No peak broadening, texture or thermal motion is included.

Cell and atoms:
Unit cell a=6.551 b=3.924 c=7.072 alpha=90.00 beta=108.33 gamma=90.00
Space group P2/m (No. 10)
Inequivalent atoms, fractional coordinates:
Na: 0.000 0.000 0.000
Na: 0.500 0.500 0.000
Pa: 0.000 0.500 0.500
Mn: 0.500 0.000 0.500
S: 0.249 0.000 0.728
S: 0.267 0.500 0.283

Top 8 peaks for 10 to 90 degrees two-theta, in order of rising 2θ:
| two_theta | I_rel | hkl |
| --- | --- | --- |
| 13.19 | 100 | 0 0 1 |
| 14.24 | 31 | 1 0 0 |
| 16.10 | 26 | 1 0 -1 |
| 26.86 | 29 | 1 1 0 |
| 32.03 | 79 | 1 1 1 |
| 32.52 | 38 | 2 0 -2 |
| 44.89 | 29 | 1 1 -3 |
| 47.66 | 25 | 3 1 -1 |


[2]
Structure and simulated powder diffractogram of Cs2Pr10Ru2I17 (the GGA-PBE geometry in Alexandria; Cu Kα X-rays).
No peak broadening, texture or thermal motion is included.

Cell and atoms:
Unit cell a=13.930 b=19.124 c=10.117 alpha=90.00 beta=95.99 gamma=90.00
Space group C2/m (No. 12)
Inequivalent atoms, fractional coordinates:
Cs: 0.000 0.173 0.000
Pr: 0.062 0.500 0.681
Pr: 0.141 0.350 0.430
Pr: 0.174 0.000 0.441
Pr: 0.206 0.500 0.185
Ru: 0.140 0.500 0.432
I: 0.000 0.500 0.000
I: 0.065 0.000 0.713
I: 0.073 0.326 0.727
I: 0.144 0.169 0.420
I: 0.212 0.000 0.130
I: 0.215 0.333 0.143

Top 8 peaks for 10 to 90 degrees two-theta, in order of rising 2θ:
| two_theta | I_rel | hkl |
| --- | --- | --- |
| 27.99 | 100 | 0 6 0 |
| 28.11 | 92 | 4 0 1 |
| 28.33 | 89 | 2 0 -3 |
| 39.36 | 34 | 2 0 4 |
| 40.09 | 65 | 4 6 1 |
| 40.25 | 64 | 2 6 -3 |
| 48.99 | 32 | 2 6 4 |
| 50.62 | 31 | 6 6 -2 |


[3]
Structure and simulated powder diffractogram of Rb2SiP4O13 (the GGA-PBE geometry in Alexandria; Cu Kα X-rays).
No peak broadening, texture or thermal motion is included.

Cell and atoms:
Unit cell a=4.932 b=7.901 c=15.481 alpha=83.82 beta=83.56 gamma=81.68
Space group P-1 (No. 2)
Inequivalent atoms, fractional coordinates:
Rb: 0.184 0.241 0.490
Rb: 0.222 0.198 0.974
Si: 0.038 0.445 0.242
P: 0.175 0.900 0.695
P: 0.178 0.819 0.210
P: 0.399 0.703 0.849
P: 0.472 0.591 0.337
O: 0.016 0.087 0.713
O: 0.036 0.227 0.289
O: 0.040 0.663 0.195
O: 0.219 0.482 0.672
O: 0.221 0.569 0.827
O: 0.236 0.934 0.130
O: 0.294 0.375 0.158
O: 0.296 0.459 0.312
O: 0.311 0.775 0.935
O: 0.317 0.919 0.605
O: 0.376 0.858 0.770
O: 0.377 0.657 0.423
O: 0.448 0.748 0.258

Top 8 peaks for 10 to 90 degrees two-theta, in order of rising 2θ:
| two_theta | I_rel | hkl |
| --- | --- | --- |
| 21.85 | 29 | 1 1 2 |
| 22.85 | 36 | 0 2 0 |
| 23.23 | 26 | 0 0 4 |
| 24.74 | 46 | 1 1 -2 |
| 26.01 | 89 | -1 1 2 |
| 26.63 | 76 | 0 2 -2 |
| 28.20 | 100 | 1 2 2 |
| 32.26 | 19 | 1 -1 4 |


[4]
Structure and simulated powder diffractogram of Pm4Sm3Ir4 (the GGA-PBE geometry in Alexandria; Cu Kα X-rays).
No peak broadening, texture or thermal motion is included.

Cell and atoms:
Unit cell a=3.918 b=8.790 c=16.434 alpha=90.00 beta=90.00 gamma=90.00
Space group Immm (No. 71)
Inequivalent atoms, fractional coordinates:
Pm: 0.000 0.189 0.166
Sm: 0.000 0.000 0.401
Sm: 0.000 0.500 0.500
Ir: 0.000 0.283 0.000
Ir: 0.000 0.500 0.246

Top 8 peaks for 10 to 90 degrees two-theta, in order of rising 2θ:
| two_theta | I_rel | hkl |
| --- | --- | --- |
| 31.06 | 100 | 1 2 1 |
| 33.20 | 84 | 1 1 4 |
| 34.72 | 43 | 0 3 3 |
| 35.66 | 29 | 1 0 5 |
| 38.74 | 48 | 0 2 6 |
| 39.96 | 37 | 1 3 2 |
| 46.35 | 30 | 2 0 0 |
| 62.13 | 31 | 1 5 4 |


[5]
Structure and simulated powder diffractogram of MnNiOs2 (the GGA-PBE geometry in Alexandria; Cu Kα X-rays).
No peak broadening, texture or thermal motion is included.

Cell and atoms:
Unit cell a=8.585 b=2.669 c=4.646 alpha=90.00 beta=100.54 gamma=90.00
Space group C2/m (No. 12)
Inequivalent atoms, fractional coordinates:
Mn: 0.000 0.000 0.000
Ni: 0.000 0.500 0.500
Os: 0.247 0.500 0.251

Top 8 peaks for 10 to 90 degrees two-theta, in order of rising 2θ:
| two_theta | I_rel | hkl |
| --- | --- | --- |
| 21.05 | 72 | 2 0 0 |
| 39.58 | 30 | 1 1 -1 |
| 41.37 | 51 | 2 0 -2 |
| 41.57 | 100 | 1 1 1 |
| 42.86 | 46 | 4 0 0 |
| 48.71 | 94 | 2 0 2 |
| 70.28 | 21 | 1 1 -3 |
| 72.39 | 19 | 5 1 1 |


[6]
Structure and simulated powder diffractogram of NdTh2PN5 (the GGA-PBE geometry in Alexandria; Cu Kα X-rays).
No peak broadening, texture or thermal motion is included.

Cell and atoms:
Unit cell a=6.752 b=6.752 c=5.631 alpha=90.00 beta=90.00 gamma=90.00
Space group P4/mbm (No. 127)
Inequivalent atoms, fractional coordinates:
Nd: 0.000 0.000 0.000
Th: 0.179 0.321 0.500
P: 0.000 0.500 0.000
N: 0.000 0.000 0.500
N: 0.131 0.631 0.221

Top 8 peaks for 10 to 90 degrees two-theta, in order of rising 2θ:
| two_theta | I_rel | hkl |
| --- | --- | --- |
| 15.74 | 45 | 0 0 1 |
| 24.44 | 28 | 1 1 1 |
| 29.58 | 42 | 2 1 0 |
| 30.88 | 100 | 2 0 1 |
| 31.79 | 40 | 0 0 2 |
| 33.68 | 84 | 2 1 1 |
| 43.97 | 48 | 2 1 2 |
| 58.72 | 27 | 4 1 1 |


[7]
Structure and simulated powder diffractogram of Er2Mg2Sc7 (the GGA-PBE geometry in Alexandria; Cu Kα X-rays).
No peak broadening, texture or thermal motion is included.

Cell and atoms:
Unit cell a=10.932 b=10.535 c=5.279 alpha=90.00 beta=110.24 gamma=90.00
Space group C2/m (No. 12)
Inequivalent atoms, fractional coordinates:
Er: 0.000 0.215 0.000
Mg: 0.079 0.500 0.290
Sc: 0.000 0.000 0.500
Sc: 0.186 0.213 0.676
Sc: 0.227 0.000 0.140

Top 8 peaks for 10 to 90 degrees two-theta, in order of rising 2θ:
| two_theta | I_rel | hkl |
| --- | --- | --- |
| 16.83 | 53 | 0 2 0 |
| 17.91 | 37 | 0 0 1 |
| 26.38 | 42 | 2 2 -1 |
| 33.33 | 35 | 4 0 -1 |
| 33.79 | 100 | 2 2 1 |
| 34.34 | 37 | 2 0 -2 |
| 36.67 | 47 | 3 3 -1 |
| 37.56 | 35 | 4 2 -1 |


[8]
Structure and simulated powder diffractogram of USnPd3 (the GGA-PBE geometry in Alexandria; Cu Kα X-rays).
No peak broadening, texture or thermal motion is included.

Cell and atoms:
Unit cell a=10.304 b=4.753 c=8.363 alpha=90.00 beta=111.18 gamma=90.00
Space group C2/m (No. 12)
Inequivalent atoms, fractional coordinates:
U: 0.057 0.000 0.381
Sn: 0.100 0.500 0.902
Pd: 0.137 0.000 0.079
Pd: 0.144 0.500 0.599
Pd: 0.200 0.500 0.283

Top 8 peaks for 10 to 90 degrees two-theta, in order of rising 2θ:
| two_theta | I_rel | hkl |
| --- | --- | --- |
| 25.38 | 36 | 1 1 1 |
| 33.75 | 27 | 3 1 0 |
| 36.15 | 44 | 4 0 -2 |
| 37.53 | 100 | 1 1 -3 |
| 37.86 | 78 | 0 2 0 |
| 38.96 | 95 | 3 1 1 |
| 40.65 | 56 | 3 1 -3 |
| 53.36 | 37 | 4 2 -2 |


[9]
Structure and simulated powder diffractogram of Y2Zn3In3 (the GGA-PBE geometry in Alexandria; Cu Kα X-rays).
No peak broadening, texture or thermal motion is included.

Cell and atoms:
Unit cell a=4.415 b=4.457 c=8.926 alpha=90.00 beta=90.00 gamma=90.00
Space group Pmmm (No. 47)
Inequivalent atoms, fractional coordinates:
Y: 0.000 0.000 0.245
Zn: 0.500 0.000 0.000
Zn: 0.500 0.500 0.238
In: 0.000 0.500 0.000
In: 0.000 0.500 0.500
In: 0.500 0.000 0.500

Top 8 peaks for 10 to 90 degrees two-theta, in order of rising 2θ:
| two_theta | I_rel | hkl |
| --- | --- | --- |
| 34.96 | 100 | 1 1 2 |
| 40.45 | 33 | 0 2 0 |
| 40.88 | 16 | 2 0 0 |
| 58.54 | 11 | 0 2 4 |
| 58.86 | 21 | 2 2 0 |
| 70.04 | 24 | 1 3 2 |
| 70.63 | 12 | 3 1 2 |
| 73.86 | 10 | 2 2 4 |


[10]
Structure and simulated powder diffractogram of MgAuN2 (the GGA-PBE geometry in Alexandria; Cu Kα X-rays).
No peak broadening, texture or thermal motion is included.

Cell and atoms:
Unit cell a=4.621 b=4.621 c=10.578 alpha=90.00 beta=90.00 gamma=90.00
Space group I-42d (No. 122)
Inequivalent atoms, fractional coordinates:
Mg: 0.000 0.000 0.000
Au: 0.000 0.000 0.500
N: 0.246 0.250 0.625

Top 8 peaks for 10 to 90 degrees two-theta, in order of rising 2θ:
| two_theta | I_rel | hkl |
| --- | --- | --- |
| 20.98 | 82 | 1 0 1 |
| 31.93 | 30 | 1 0 3 |
| 32.20 | 100 | 1 1 2 |
| 38.98 | 23 | 2 0 0 |
| 44.68 | 24 | 2 1 1 |
| 52.60 | 30 | 2 0 4 |
| 59.59 | 17 | 1 1 6 |
| 66.37 | 25 | 3 1 2 |